Entry 1:
Calculated powder X-ray diffraction pattern of Li3Fe2Co2O8 for CuKα, from a cell relaxed with GGA+U.

Principal peaks in the range 2θ = 10–90°, low angle first:
- 2θ = 18.33°, d = 4.841 Å, I 100
- 2θ = 18.50°, d = 4.797 Å, I 68
- 2θ = 35.50°, d = 2.529 Å, I 21
- 2θ = 35.71°, d = 2.514 Å, I 30
- 2θ = 43.30°, d = 2.090 Å, I 76
- 2θ = 43.47°, d = 2.082 Å, I 38
- 2θ = 62.93°, d = 1.477 Å, I 21
- 2θ = 63.12°, d = 1.473 Å, I 20

Atomic structure:
a = 10.1725 Å, b = 5.9498 Å, c = 5.8724 Å
α = 90.00°, β = 125.05°, γ = 90.00°
Space group C2/m (No. 12)
Unique sites:
Li (0.0000, 0.0000, 0.0000)
Li (0.2500, 0.2500, 0.0000)
Fe (0.2500, 0.2500, 0.5000)
Co (0.0000, 0.5000, 0.0000)
Co (0.0000, 0.5000, 0.5000)
O (0.0040, 0.2808, 0.2428)
O (0.2293, 0.5000, 0.2380)
O (0.2455, 0.5000, 0.7316)

***

Entry 2:
Calculated powder X-ray diffraction pattern of Li4FeCo5O12 for CuKα, from a cell relaxed with GGA+U.

Principal peaks in the range 2θ = 10–90°, low angle first:
- 2θ = 17.81°, d = 4.981 Å, I 100
- 2θ = 36.31°, d = 2.474 Å, I 7
- 2θ = 37.63°, d = 2.390 Å, I 29
- 2θ = 40.72°, d = 2.216 Å, I 15
- 2θ = 45.88°, d = 1.978 Å, I 30
- 2θ = 52.11°, d = 1.755 Å, I 13
- 2θ = 59.70°, d = 1.549 Å, I 16
- 2θ = 66.20°, d = 1.412 Å, I 14

Atomic structure:
a = 4.9239 Å, b = 4.9242 Å, c = 9.9620 Å
α = 89.92°, β = 89.97°, γ = 60.33°
Space group P1 (No. 1)
Unique sites:
Li (0.0000, 0.0000, 0.0000)
Li (0.1867, 0.8227, 0.4993)
Li (0.5001, 0.4972, 0.0006)
Li (0.6877, 0.3236, 0.4981)
Fe (0.3494, 0.1598, 0.7489)
Co (0.0148, 0.8259, 0.7490)
Co (0.1825, 0.0006, 0.2492)
Co (0.5109, 0.3287, 0.2498)
Co (0.6837, 0.4955, 0.7493)
Co (0.8454, 0.6634, 0.2495)
O (0.0047, 0.1539, 0.6433)
O (0.0149, 0.4958, 0.8476)
O (0.1765, 0.3274, 0.3457)
O (0.1805, 0.6705, 0.1491)
O (0.3413, 0.8159, 0.8553)
O (0.3565, 0.5055, 0.6432)
O (0.5097, 0.6628, 0.3503)
O (0.5107, 0.9955, 0.1532)
O (0.6845, 0.8254, 0.6505)
O (0.6926, 0.1677, 0.8547)
O (0.8440, 0.3279, 0.1486)
O (0.8533, 0.9984, 0.3501)

***

Entry 3:
Calculated powder X-ray diffraction pattern of Li6Fe3Co3O16 for CuKα, from a cell relaxed with GGA+U.

Principal peaks in the range 2θ = 10–90°, low angle first:
- 2θ = 17.93°, d = 4.948 Å, I 100
- 2θ = 19.95°, d = 4.450 Å, I 30
- 2θ = 36.08°, d = 2.489 Å, I 11
- 2θ = 37.23°, d = 2.415 Å, I 25
- 2θ = 40.50°, d = 2.227 Å, I 12
- 2θ = 45.56°, d = 1.991 Å, I 17
- 2θ = 45.72°, d = 1.984 Å, I 12
- 2θ = 64.98°, d = 1.435 Å, I 11

Atomic structure:
a = 9.9337 Å, b = 5.7579 Å, c = 9.8959 Å
α = 90.00°, β = 90.40°, γ = 90.00°
Space group Cm (No. 8)
Unique sites:
Li (0.0000, 0.0000, 0.0000)
Li (0.0002, 0.0000, 0.3898)
Li (0.1648, 0.5000, 0.4988)
Li (0.1673, 0.5000, 0.8896)
Li (0.3258, 0.0000, 0.9976)
Li (0.3282, 0.0000, 0.4962)
Fe (0.0017, 0.5000, 0.2141)
Fe (0.4178, 0.2532, 0.7140)
Co (0.1646, 0.0000, 0.7128)
Co (0.2487, 0.2516, 0.2133)
O (0.0040, 0.0000, 0.6014)
O (0.0776, 0.2242, 0.8169)
O (0.0938, 0.2729, 0.3175)
O (0.1688, 0.5000, 0.1080)
O (0.1768, 0.0000, 0.1164)
O (0.2531, 0.2304, 0.6124)
O (0.3174, 0.5000, 0.3125)
O (0.3277, 0.0000, 0.8151)
O (0.3295, 0.0000, 0.3124)
O (0.3499, 0.5000, 0.8210)
O (0.4077, 0.2330, 0.1130)
O (0.4873, 0.0000, 0.6084)